Structure and simulated powder XRD pattern of KHfRe2 (a structure optimized by DFT (PBE); Cu Kα (weighted mean of Kα1 and Kα2)).

Top 8 peaks for 2θ from 15° to 90°, low angle first:
| 2θ (°) | d [Å] | I_rel | hkl |
| --- | --- | --- | --- |
| 19.21 | 4.621 | 100 | 1 0 1 |
| 28.11 | 3.175 | 44 | 1 1 2 |
| 37.86 | 2.377 | 26 | 0 0 8 |
| 38.15 | 2.359 | 18 | 1 0 7 |
| 39.01 | 2.309 | 40 | 2 0 2 |
| 42.45 | 2.129 | 17 | 2 0 4 |
| 44.89 | 2.019 | 31 | 2 1 3 |
| 49.02 | 1.858 | 24 | 2 1 5 |

Atomic structure:
```
data_KHfRe2
_space_group_name_H-M_alt 'I -4 2 d'
_space_group_IT_number 122
_space_group_name_Hall 'I -4 2bw'
_cell_length_a 4.7635
_cell_length_b 4.7635
_cell_length_c 19.0070
_cell_angle_alpha 90.00
_cell_angle_beta 90.00
_cell_angle_gamma 90.00
loop_
_atom_site_label
_atom_site_fract_x
_atom_site_fract_y
_atom_site_fract_z
K1 0.0000 0.0000 0.0000
Hf1 0.0000 0.0000 0.5000
Re1 0.0734 0.7500 0.6250
```